Diffraction record for Na2LiZnBr5. The PXRD pattern is theoretical, not measured: it uses a crystal structure in Alexandria, relaxed with GGA-PBE and Cu Ka.

Largest 6 diffraction maxima, low angle first, 5° ≤ 2θ ≤ 70°:
- 2θ 18.4, 4.829 Å, I = 41
- 2θ 26.7, 3.337 Å, I = 56
- 2θ 27.2, 3.275 Å, I = 76
- 2θ 29.4, 3.042 Å, I = 37
- 2θ 31.2, 2.871 Å, I = 100
- 2θ 43.5, 2.080 Å, I = 42

```
18
Lattice="2.002 -10.456 0.000 2.002 10.456 0.000 0.000 0.000 12.606" Properties=species:S:1:pos:R:3 pbc="T T T"
Na 2.002 7.696 6.303
Na 2.002 6.945 10.615
Na 2.002 -6.945 4.312
Na 2.002 -7.696 0.000
Li 2.002 6.170 2.624
Li 2.002 -6.170 8.927
Zn 2.002 1.151 7.457
Zn 2.002 -1.151 1.155
Br 2.002 9.476 2.606
Br 2.002 4.056 10.588
Br 2.002 3.611 2.168
Br 2.002 3.456 6.603
Br 2.002 0.503 12.064
Br 2.002 -0.503 5.762
Br 2.002 -3.456 0.300
Br 2.002 -3.611 8.471
Br 2.002 -4.056 4.286
Br 2.002 -9.476 8.909
```


Diffraction record for LiNd2Br6. The PXRD pattern is theoretical, not measured: it uses a crystal structure in Alexandria, relaxed with GGA-PBE and Cu Ka.

Largest 6 diffraction maxima, low angle first, 5° ≤ 2θ ≤ 70°:
- 2θ 10.8, 8.217 Å, I = 100
- 2θ 18.5, 4.788 Å, I = 72
- 2θ 29.1, 3.073 Å, I = 76
- 2θ 30.0, 2.982 Å, I = 71
- 2θ 30.6, 2.918 Å, I = 83
- 2θ 43.4, 2.086 Å, I = 71

```
9
Lattice="6.700 -2.918 0.000 6.700 2.918 0.000 -3.133 0.000 8.217" Properties=species:S:1:pos:R:3 pbc="T T T"
Li 0.000 0.000 0.000
Nd 0.668 0.000 4.934
Nd 9.599 0.000 3.283
Br -2.208 0.000 5.874
Br 3.139 0.000 3.273
Br 1.859 0.000 7.434
Br 8.408 0.000 0.782
Br 7.128 0.000 4.944
Br 12.476 0.000 2.343
```


Diffraction record for Li2NdBr5. The PXRD pattern is theoretical, not measured: it uses a crystal structure in Alexandria, relaxed with GGA-PBE and Cu Ka.

Largest 6 diffraction maxima, low angle first, 5° ≤ 2θ ≤ 70°:
- 2θ 14.0, 6.328 Å, I = 51
- 2θ 14.1, 6.276 Å, I = 51
- 2θ 27.8, 3.205 Å, I = 97
- 2θ 28.4, 3.139 Å, I = 100
- 2θ 29.1, 3.066 Å, I = 75
- 2θ 43.4, 2.085 Å, I = 66

```
16
Lattice="6.856 -3.664 0.000 6.856 3.664 0.000 -4.248 0.000 9.663" Properties=species:S:1:pos:R:3 pbc="T T T"
Li 4.732 3.413 4.831
Li -0.287 0.251 8.301
Li 1.837 -0.251 3.469
Li 6.856 -3.413 0.000
Nd 7.769 0.000 1.739
Nd 5.645 0.000 6.570
Br 2.293 1.161 1.215
Br 6.394 2.505 2.262
Br 3.477 1.136 5.049
Br 0.169 -1.161 6.046
Br 4.583 1.313 8.986
Br 5.601 -1.136 0.218
Br 9.940 1.134 3.257
Br 6.707 -1.313 4.154
Br 4.270 -2.505 7.093
Br 7.816 -1.134 8.088
```


Diffraction record for LiNiBr. The PXRD pattern is theoretical, not measured: it uses a crystal structure in Alexandria, relaxed with GGA-PBE and Cu Ka.

Largest 6 diffraction maxima, low angle first, 5° ≤ 2θ ≤ 70°:
- 2θ 22.4, 3.964 Å, I = 100
- 2θ 34.5, 2.602 Å, I = 57
- 2θ 44.3, 2.047 Å, I = 16
- 2θ 44.7, 2.028 Å, I = 61
- 2θ 56.9, 1.619 Å, I = 14
- 2θ 57.3, 1.609 Å, I = 18

```
12
Lattice="3.449 0.000 0.000 0.000 4.094 0.000 0.000 0.000 15.866" Properties=species:S:1:pos:R:3 pbc="T T T"
Li 0.000 0.000 0.000
Li 0.000 0.000 3.443
Li 0.000 2.047 7.933
Li 0.000 2.047 11.376
Ni 0.000 0.000 9.508
Ni 0.000 2.047 1.576
Ni 1.724 0.000 7.864
Ni 1.724 2.047 15.797
Br 0.000 0.000 6.202
Br 0.000 2.047 14.135
Br 1.724 0.000 11.252
Br 1.724 2.047 3.319
```


Diffraction record for Li3NpBr6. The PXRD pattern is theoretical, not measured: it uses a crystal structure in Alexandria, relaxed with GGA-PBE and Cu Ka.

Largest 6 diffraction maxima, low angle first, 5° ≤ 2θ ≤ 70°:
- 2θ 14.7, 6.042 Å, I = 100
- 2θ 17.5, 5.060 Å, I = 67
- 2θ 27.6, 3.237 Å, I = 82
- 2θ 28.1, 3.179 Å, I = 66
- 2θ 28.9, 3.094 Å, I = 59
- 2θ 29.2, 3.059 Å, I = 76

```
20
Lattice="7.077 0.000 0.000 0.000 7.239 0.000 -6.988 0.000 10.968" Properties=species:S:1:pos:R:3 pbc="T T T"
Li 0.000 0.000 0.000
Li -3.494 3.619 5.484
Li -3.332 0.099 8.127
Li 0.162 3.521 2.643
Li -0.072 3.718 8.326
Li 3.422 7.140 2.842
Np 0.045 0.000 5.484
Np 3.539 3.619 0.000
Br -2.430 1.304 4.727
Br -5.924 2.316 10.212
Br -1.124 4.784 4.551
Br -4.617 6.074 10.035
Br 0.984 0.853 2.828
Br -2.510 2.767 8.312
Br 2.600 4.472 2.657
Br -0.894 6.386 8.141
Br 4.707 1.165 0.933
Br 1.213 2.455 6.417
Br 6.014 4.923 0.757
Br 2.520 5.935 6.241
```


Diffraction record for Li3NpBr8. The PXRD pattern is theoretical, not measured: it uses a crystal structure in Alexandria, relaxed with GGA-PBE and Cu Ka.

Largest 6 diffraction maxima, low angle first, 5° ≤ 2θ ≤ 70°:
- 2θ 13.0, 6.817 Å, I = 76
- 2θ 13.3, 6.647 Å, I = 91
- 2θ 15.3, 5.807 Å, I = 41
- 2θ 30.8, 2.904 Å, I = 100
- 2θ 31.0, 2.881 Å, I = 50
- 2θ 44.7, 2.029 Å, I = 56

```
12
Lattice="7.030 -4.057 0.000 7.030 4.057 0.000 -4.766 0.000 6.817" Properties=species:S:1:pos:R:3 pbc="T T T"
Li 0.000 0.000 0.000
Li 3.515 2.028 0.000
Li 3.515 -2.028 0.000
Np 7.030 0.000 0.000
Br 2.343 0.000 1.141
Br 0.082 0.000 5.223
Br 3.355 1.888 5.221
Br 5.940 1.888 1.597
Br 3.355 -1.888 5.221
Br 5.940 -1.888 1.597
Br 9.213 0.000 1.595
Br 6.953 0.000 5.677
```


Diffraction record for LiNpBr4. The PXRD pattern is theoretical, not measured: it uses a crystal structure in Alexandria, relaxed with GGA-PBE and Cu Ka.

Largest 6 diffraction maxima, low angle first, 5° ≤ 2θ ≤ 70°:
- 2θ 13.5, 6.565 Å, I = 100
- 2θ 15.3, 5.807 Å, I = 33
- 2θ 24.5, 3.633 Å, I = 47
- 2θ 30.4, 2.940 Å, I = 78
- 2θ 30.8, 2.904 Å, I = 40
- 2θ 43.8, 2.066 Å, I = 68

```
12
Lattice="-3.979 4.362 5.807 3.979 -4.362 5.807 3.979 4.362 -5.807" Properties=species:S:1:pos:R:3 pbc="T T T"
Li -1.989 2.181 2.904
Li 1.989 2.181 2.904
Np 0.000 0.000 0.000
Np 0.000 4.362 0.000
Br 1.948 2.181 -0.029
Br 2.031 -2.181 5.778
Br 0.000 0.303 2.838
Br 3.979 0.303 2.969
Br 0.000 4.059 2.838
Br 3.979 4.059 2.969
Br 1.948 6.543 0.029
Br 2.031 2.181 5.836
```


Diffraction record for LiNpBrO4. The PXRD pattern is theoretical, not measured: it uses a crystal structure in Alexandria, relaxed with GGA-PBE and Cu Ka.

Largest 6 diffraction maxima, low angle first, 5° ≤ 2θ ≤ 70°:
- 2θ 14.2, 6.248 Å, I = 41
- 2θ 16.1, 5.519 Å, I = 61
- 2θ 19.6, 4.529 Å, I = 100
- 2θ 22.9, 3.879 Å, I = 75
- 2θ 27.5, 3.242 Å, I = 56
- 2θ 35.0, 2.563 Å, I = 40

```
14
Lattice="5.796 -3.242 0.000 5.796 3.242 0.000 -2.006 0.000 6.248" Properties=species:S:1:pos:R:3 pbc="T T T"
Li 0.798 0.000 1.333
Li 8.788 0.000 4.915
Np 1.085 0.000 5.186
Np 8.501 0.000 1.063
Br 4.052 0.000 4.783
Br 5.534 0.000 1.466
O 2.470 1.372 1.161
O -0.846 0.000 5.386
O 0.939 0.000 3.280
O 2.470 -1.372 1.161
O 7.117 1.372 5.088
O 8.647 0.000 2.969
O 10.432 0.000 0.863
O 7.117 -1.372 5.088
```


Diffraction record for LiP4Br12O4. The PXRD pattern is theoretical, not measured: it uses a crystal structure in Alexandria, relaxed with GGA-PBE and Cu Ka.

Largest 6 diffraction maxima, low angle first, 5° ≤ 2θ ≤ 70°:
- 2θ 19.8, 4.487 Å, I = 69
- 2θ 21.6, 4.117 Å, I = 49
- 2θ 24.1, 3.696 Å, I = 45
- 2θ 27.0, 3.298 Å, I = 100
- 2θ 30.1, 2.971 Å, I = 32
- 2θ 39.1, 2.302 Å, I = 37

```
21
Lattice="7.018 0.000 0.000 0.000 11.211 0.000 -0.517 0.000 9.793" Properties=species:S:1:pos:R:3 pbc="T T T"
Li 0.000 0.000 0.000
P 0.514 5.606 7.097
P 3.437 5.606 2.044
P 3.666 0.000 8.144
P 6.162 0.000 3.276
Br 0.825 0.000 4.669
Br 1.814 3.863 6.730
Br 1.814 7.348 6.730
Br 2.193 3.859 1.545
Br 2.193 7.352 1.545
Br 2.551 0.000 0.268
Br 5.044 5.606 0.555
Br 4.960 1.750 3.791
Br 4.960 9.461 3.791
Br 5.212 1.844 8.408
Br 5.212 9.368 8.408
Br 6.091 5.606 5.445
O -0.103 5.606 8.438
O 3.002 0.000 6.819
O 3.904 5.606 3.446
O 6.574 0.000 1.851
```


Diffraction record for LiPr2Br2O4. The PXRD pattern is theoretical, not measured: it uses a crystal structure in Alexandria, relaxed with GGA-PBE and Cu Ka.

Largest 6 diffraction maxima, low angle first, 5° ≤ 2θ ≤ 70°:
- 2θ 15.0, 5.920 Å, I = 69
- 2θ 23.3, 3.818 Å, I = 40
- 2θ 23.6, 3.772 Å, I = 100
- 2θ 25.0, 3.558 Å, I = 91
- 2θ 27.3, 3.269 Å, I = 65
- 2θ 31.6, 2.835 Å, I = 51

```
9
Lattice="4.352 0.000 0.000 -1.095 6.427 0.000 -0.376 -2.840 6.718" Properties=species:S:1:pos:R:3 pbc="T T T"
Li 0.000 0.000 0.000
Pr 0.951 0.633 3.131
Pr 3.179 3.240 1.108
Br 0.731 2.115 5.904
Br 3.093 -0.996 5.046
O -0.889 5.484 1.656
O 0.997 2.097 1.028
O 1.009 2.979 2.222
O 3.152 1.321 2.568
```


Diffraction record for LiPr2Br2O4. The PXRD pattern is theoretical, not measured: it uses a crystal structure in Alexandria, relaxed with GGA-PBE and Cu Ka.

Largest 6 diffraction maxima, low angle first, 5° ≤ 2θ ≤ 70°:
- 2θ 25.3, 3.520 Å, I = 51
- 2θ 26.2, 3.407 Å, I = 100
- 2θ 31.5, 2.840 Å, I = 34
- 2θ 34.6, 2.591 Å, I = 49
- 2θ 36.9, 2.433 Å, I = 26
- 2θ 42.5, 2.129 Å, I = 25

```
9
Lattice="6.223 0.000 0.000 0.000 4.258 0.000 -2.925 0.000 6.530" Properties=species:S:1:pos:R:3 pbc="T T T"
Li 0.000 0.000 0.000
Pr -0.389 2.129 3.022
Pr 2.954 0.000 1.380
Br -1.641 2.129 5.859
Br 1.318 0.000 5.039
O 0.653 0.000 1.817
O 3.294 2.129 2.482
O 4.135 2.129 1.232
O 4.877 0.000 2.880
```


Diffraction record for LiPr2Br2O4. The PXRD pattern is theoretical, not measured: it uses a crystal structure in Alexandria, relaxed with GGA-PBE and Cu Ka.

Largest 6 diffraction maxima, low angle first, 5° ≤ 2θ ≤ 70°:
- 2θ 16.2, 5.462 Å, I = 96
- 2θ 23.4, 3.799 Å, I = 68
- 2θ 23.8, 3.742 Å, I = 74
- 2θ 24.8, 3.590 Å, I = 100
- 2θ 31.2, 2.867 Å, I = 69
- 2θ 36.8, 2.445 Å, I = 69

```
9
Lattice="4.334 0.000 0.000 2.041 6.117 0.000 2.156 2.595 6.986" Properties=species:S:1:pos:R:3 pbc="T T T"
Li 0.000 0.000 0.000
Pr 2.129 2.697 0.622
Pr 6.346 6.543 2.997
Br 4.200 4.704 4.550
Br 6.375 7.478 6.046
O 2.067 4.829 1.492
O 2.138 1.656 2.883
O 4.186 6.651 1.922
O 4.297 1.773 0.856
```